Entry 1:
Theoretical X-ray diffraction stick pattern
Compound: Ba6TeSe3S2
Radiation: λ = 1.5418 Å (Cu Kα)
Structure: a DFT-relaxed cell (PBE, Alexandria)

Structural model:
Cell: 10.5648 10.5648 9.4706 Å, 102.89 102.89 25.81°
Element x y z (fractional)
Ba 0.0028 0.0028 0.2631
Ba 0.3286 0.3286 0.9078
Ba 0.3304 0.3304 0.4216
Ba 0.6696 0.6696 0.5784
Ba 0.6714 0.6714 0.0922
Ba 0.9972 0.9972 0.7369
Te 0.5000 0.5000 0.0000
Se 0.1654 0.1654 0.8307
Se 0.5000 0.5000 0.5000
Se 0.8346 0.8346 0.1693
S 0.1685 0.1685 0.3367
S 0.8315 0.8315 0.6633

Top 12 peaks for 2θ from 5° to 70°, low angle first:
2θ/deg	I (rel.)
23.0	15.7
26.7	100.0
38.1	63.1
38.1	12.8
45.0	6.5
47.0	13.3
47.2	13.7
54.9	12.6
62.1	16.9
62.1	17.7
68.7	10.2
68.9	15.1

***

Entry 2:
Theoretical X-ray diffraction stick pattern
Compound: BaTe2SeS2
Radiation: λ = 1.5418 Å (Cu Kα)
Structure: a DFT-relaxed cell (PBE, Alexandria)

Structural model:
Cell: 6.0358 6.3165 10.8386 Å, 90.00 91.97 90.00°
Element x y z (fractional)
Ba 0.0321 0.2500 0.3059
Ba 0.9679 0.7500 0.6941
Te 0.4862 0.5012 0.8684
Te 0.4862 0.9988 0.8684
Te 0.5138 0.0012 0.1316
Te 0.5138 0.4988 0.1316
Se 0.3682 0.7500 0.4015
Se 0.6318 0.2500 0.5985
S 0.0009 0.7500 0.3847
S 0.4547 0.7500 0.6010
S 0.5453 0.2500 0.3990
S 0.9991 0.2500 0.6153

Top 12 peaks for 2θ from 5° to 70°, low angle first:
2θ/deg	I (rel.)
14.7	71.5
17.1	71.6
22.2	44.5
28.4	52.1
29.5	100.0
29.6	79.7
32.0	76.6
32.9	38.0
33.1	40.0
35.9	42.3
37.8	60.5
49.3	40.4

***

Entry 3:
Theoretical X-ray diffraction stick pattern
Compound: Ba2ZrSeS3
Radiation: λ = 1.5418 Å (Cu Kα)
Structure: a DFT-relaxed cell (PBE, Alexandria)

Structural model:
Cell: 8.7274 8.7274 8.7274 Å, 146.58 145.16 49.05°
Element x y z (fractional)
Ba 0.1434 0.1434 0.0000
Ba 0.8566 0.8566 0.0000
Zr 0.5000 0.5000 0.0000
Se 0.0000 0.5000 0.5000
S 0.3368 0.3368 0.0000
S 0.5000 0.0000 0.5000
S 0.6632 0.6632 0.0000

Top 12 peaks for 2θ from 5° to 70°, low angle first:
2θ/deg	I (rel.)
11.1	44.1
23.9	51.8
24.4	98.9
24.6	100.0
33.5	79.4
33.9	43.6
34.3	62.0
35.8	55.2
42.6	47.8
43.5	28.4
49.0	29.4
50.4	40.0

***

Entry 4:
Theoretical X-ray diffraction stick pattern
Compound: BaVSi2S8
Radiation: λ = 1.5418 Å (Cu Kα)
Structure: a DFT-relaxed cell (PBE, Alexandria)

Structural model:
Cell: 5.9916 5.9916 8.5848 Å, 90.00 90.00 120.00°
Element x y z (fractional)
Ba 0.0000 0.0000 0.0000
V 0.0000 0.0000 0.5000
Si 0.3333 0.6667 0.7227
Si 0.6667 0.3333 0.2773
S 0.0098 0.6843 0.3417
S 0.3157 0.3254 0.3417
S 0.3254 0.0098 0.6583
S 0.3333 0.6667 0.9679
S 0.6667 0.3333 0.0321
S 0.6746 0.9902 0.3417
S 0.6843 0.6746 0.6583
S 0.9902 0.3157 0.6583

Top 12 peaks for 2θ from 5° to 70°, low angle first:
2θ/deg	I (rel.)
17.1	62.9
20.0	29.8
27.0	80.9
29.8	43.8
31.3	39.6
31.6	100.0
36.6	88.4
40.6	29.9
51.2	28.8
52.4	49.7
52.9	45.5
62.8	27.3

***

Entry 5:
Theoretical X-ray diffraction stick pattern
Compound: Ba2Sm2S5
Radiation: λ = 1.5418 Å (Cu Kα)
Structure: a DFT-relaxed cell (PBE, Alexandria)

Structural model:
Cell: 8.5807 8.5807 7.8929 Å, 90.00 90.00 54.66°
Element x y z (fractional)
Ba 0.1989 0.1989 0.0000
Ba 0.3011 0.3011 0.5000
Ba 0.6989 0.6989 0.5000
Ba 0.8011 0.8011 0.0000
Sm 0.1621 0.8379 0.6626
Sm 0.3379 0.6621 0.1626
Sm 0.6621 0.3379 0.8374
Sm 0.8379 0.1621 0.3374
S 0.0000 0.0000 0.0000
S 0.0289 0.7282 0.3512
S 0.2282 0.5289 0.8512
S 0.2718 0.9711 0.3512
S 0.4711 0.7718 0.8512
S 0.5000 0.5000 0.5000
S 0.5289 0.2282 0.1488
S 0.7282 0.0289 0.6488
S 0.7718 0.4711 0.1488
S 0.9711 0.2718 0.6488

Top 12 peaks for 2θ from 5° to 70°, low angle first:
2θ/deg	I (rel.)
11.6	26.3
23.7	64.6
25.4	100.0
27.9	40.2
30.9	54.3
32.1	38.4
33.5	31.4
34.7	49.2
36.5	83.4
39.0	30.6
47.1	59.8
51.8	23.5

***

Entry 6:
Theoretical X-ray diffraction stick pattern
Compound: Ba3Sm4S8
Radiation: λ = 1.5418 Å (Cu Kα)
Structure: a DFT-relaxed cell (PBE, Alexandria)

Structural model:
Cell: 8.4879 8.4879 8.3488 Å, 119.26 119.26 90.10°
Element x y z (fractional)
Ba 0.0000 0.0000 0.0000
Ba 0.0000 0.5000 0.0000
Ba 0.5000 0.0000 0.0000
Sm 0.0000 0.5000 0.5000
Sm 0.5000 0.0000 0.5000
Sm 0.5000 0.5000 0.0000
Sm 0.5000 0.5000 0.5000
S 0.2619 0.7381 0.0000
S 0.2638 0.7362 0.5000
S 0.2705 0.2705 0.5216
S 0.2843 0.2843 0.0377
S 0.7157 0.7157 0.9623
S 0.7295 0.7295 0.4784
S 0.7362 0.2638 0.5000
S 0.7381 0.2619 0.0000

Top 12 peaks for 2θ from 5° to 70°, low angle first:
2θ/deg	I (rel.)
12.6	19.9
25.4	49.9
26.0	45.9
29.6	50.4
29.8	100.0
41.7	18.7
42.5	36.3
42.6	36.1
43.4	17.5
49.7	9.2
52.1	19.1
53.5	19.4

***

Entry 7:
Theoretical X-ray diffraction stick pattern
Compound: Ba3Sm3YS8
Radiation: λ = 1.5418 Å (Cu Kα)
Structure: a DFT-relaxed cell (PBE, Alexandria)

Structural model:
Cell: 8.2394 8.2394 8.6958 Å, 118.25 118.25 60.03°
Element x y z (fractional)
Ba 0.0000 0.0000 0.0000
Ba 0.0000 0.5000 0.0000
Ba 0.5000 0.0000 0.0000
Sm 0.0000 0.5000 0.5000
Sm 0.5000 0.0000 0.5000
Sm 0.5000 0.5000 0.5000
Y 0.0000 0.0000 0.5000
S 0.2333 0.2333 0.7094
S 0.2335 0.7424 0.7096
S 0.2576 0.7665 0.2904
S 0.2610 0.2610 0.2831
S 0.7390 0.7390 0.7169
S 0.7424 0.2335 0.7096
S 0.7665 0.2576 0.2904
S 0.7667 0.7667 0.2906

Top 12 peaks for 2θ from 5° to 70°, low angle first:
2θ/deg	I (rel.)
12.2	9.1
14.8	13.3
24.4	18.5
26.3	42.9
29.9	100.0
41.6	36.8
43.9	34.3
48.9	11.7
50.9	16.2
54.1	18.0
62.1	11.0
68.8	14.7

***

Entry 8:
Theoretical X-ray diffraction stick pattern
Compound: BaSn2S3
Radiation: λ = 1.5418 Å (Cu Kα)
Structure: a DFT-relaxed cell (PBE, Alexandria)

Structural model:
Cell: 11.8841 4.2594 13.2292 Å, 90.00 90.80 90.00°
Element x y z (fractional)
Ba 0.0000 0.0000 0.0000
Ba 0.0025 0.0000 0.6692
Ba 0.4867 0.0000 0.2349
Ba 0.9914 0.0000 0.3374
Sn 0.2550 0.5000 0.1565
Sn 0.2632 0.5000 0.4836
Sn 0.2729 0.5000 0.8155
Sn 0.5039 0.0000 0.5826
Sn 0.5051 0.0000 0.9124
Sn 0.7432 0.5000 0.4283
Sn 0.7481 0.5000 0.7522
Sn 0.7573 0.5000 0.0800
S 0.0442 0.5000 0.1685
S 0.0453 0.5000 0.5027
S 0.0552 0.5000 0.8363
S 0.2574 0.0000 0.3563
S 0.2704 0.0000 0.6898
S 0.2718 0.0000 0.0336
S 0.5357 0.5000 0.4062
S 0.5386 0.5000 0.7201
S 0.5433 0.5000 0.0479
S 0.7394 0.0000 0.8814
S 0.7463 0.0000 0.5564
S 0.7551 0.0000 0.2036

Top 12 peaks for 2θ from 5° to 70°, low angle first:
2θ/deg	I (rel.)
25.0	28.4
25.3	26.7
25.7	70.4
29.2	63.4
30.1	100.0
30.2	38.6
36.9	18.9
37.3	21.2
42.2	24.3
42.4	27.1
46.9	18.8
52.9	26.2

***

Entry 9:
Theoretical X-ray diffraction stick pattern
Compound: Ba3Sn2S7
Radiation: λ = 1.5418 Å (Cu Kα)
Structure: a DFT-relaxed cell (PBE, Alexandria)

Structural model:
Cell: 11.2541 6.9460 18.9414 Å, 90.00 99.36 90.00°
Element x y z (fractional)
Ba 0.0119 0.2105 0.1126
Ba 0.0119 0.2895 0.6126
Ba 0.2528 0.2319 0.8366
Ba 0.2528 0.2681 0.3366
Ba 0.4408 0.2489 0.6115
Ba 0.4408 0.2511 0.1115
Ba 0.5592 0.7489 0.8885
Ba 0.5592 0.7511 0.3885
Ba 0.7472 0.7319 0.6634
Ba 0.7472 0.7681 0.1634
Ba 0.9881 0.7105 0.3874
Ba 0.9881 0.7895 0.8874
Sn 0.2296 0.6882 0.1983
Sn 0.2296 0.8118 0.6983
Sn 0.2919 0.7114 0.5039
Sn 0.2919 0.7886 0.0039
Sn 0.7081 0.2114 0.9961
Sn 0.7081 0.2886 0.4961
Sn 0.7704 0.1882 0.3017
Sn 0.7704 0.3118 0.8017
S 0.0556 0.5405 0.2357
S 0.0556 0.9595 0.7357
S 0.1797 0.0857 0.9893
S 0.1797 0.4143 0.4893
S 0.1825 0.5636 0.0713
S 0.1825 0.9364 0.5713
S 0.2479 0.0302 0.1938
S 0.2479 0.4698 0.6938
S 0.2690 0.6761 0.8827
S 0.2690 0.8239 0.3827
S 0.4100 0.5213 0.2466
S 0.4100 0.9787 0.7466
S 0.4965 0.7192 0.5583
S 0.4965 0.7808 0.0583
S 0.5035 0.2192 0.9417
S 0.5035 0.2808 0.4417
S 0.5900 0.0213 0.2534
S 0.5900 0.4787 0.7534
S 0.7310 0.1761 0.6173
S 0.7310 0.3239 0.1173
S 0.7521 0.5302 0.3062
S 0.7521 0.9698 0.8062
S 0.8175 0.0636 0.4287
S 0.8175 0.4364 0.9287
S 0.8203 0.5857 0.5107
S 0.8203 0.9143 0.0107
S 0.9444 0.0405 0.2643
S 0.9444 0.4595 0.7643

Top 12 peaks for 2θ from 5° to 70°, low angle first:
2θ/deg	I (rel.)
21.5	49.5
22.9	31.7
23.3	39.1
23.7	100.0
25.7	50.4
26.2	31.2
27.3	25.3
31.5	41.0
32.2	30.3
35.3	27.4
35.7	25.6
44.1	27.0

***

Entry 10:
Theoretical X-ray diffraction stick pattern
Compound: BaSn2S5
Radiation: λ = 1.5418 Å (Cu Kα)
Structure: a DFT-relaxed cell (PBE, Alexandria)

Structural model:
Cell: 6.7475 10.8361 11.6851 Å, 90.00 90.00 90.00°
Element x y z (fractional)
Ba 0.2500 0.2500 0.1995
Ba 0.2500 0.2500 0.6995
Ba 0.7500 0.7500 0.3005
Ba 0.7500 0.7500 0.8005
Sn 0.2464 0.5591 0.4737
Sn 0.2464 0.9409 0.9737
Sn 0.2536 0.5591 0.9737
Sn 0.2536 0.9409 0.4737
Sn 0.7464 0.0591 0.5263
Sn 0.7464 0.4409 0.0263
Sn 0.7536 0.0591 0.0263
Sn 0.7536 0.4409 0.5263
S 0.0499 0.5265 0.6481
S 0.0499 0.9735 0.1481
S 0.0724 0.1347 0.4365
S 0.0724 0.3653 0.9365
S 0.2500 0.7500 0.3493
S 0.2500 0.7500 0.8493
S 0.4276 0.1347 0.9365
S 0.4276 0.3653 0.4365
S 0.4501 0.5265 0.1481
S 0.4501 0.9735 0.6481
S 0.5499 0.0265 0.3519
S 0.5499 0.4735 0.8519
S 0.5724 0.6347 0.5635
S 0.5724 0.8653 0.0635
S 0.7500 0.2500 0.1507
S 0.7500 0.2500 0.6507
S 0.9276 0.6347 0.0635
S 0.9276 0.8653 0.5635
S 0.9501 0.0265 0.8519
S 0.9501 0.4735 0.3519

Top 12 peaks for 2θ from 5° to 70°, low angle first:
2θ/deg	I (rel.)
15.2	35.5
21.7	81.2
22.4	100.0
26.4	46.9
28.0	80.1
31.7	46.5
33.4	46.6
34.9	90.4
42.0	30.2
43.9	30.6
46.7	50.3
48.3	31.7

***

What did the third record say?
Theoretical X-ray diffraction stick pattern
Compound: Ba2ZrSeS3
Radiation: λ = 1.5418 Å (Cu Kα)
Structure: a DFT-relaxed cell (PBE, Alexandria)

Structural model:
Cell: 8.7274 8.7274 8.7274 Å, 146.58 145.16 49.05°
Element x y z (fractional)
Ba 0.1434 0.1434 0.0000
Ba 0.8566 0.8566 0.0000
Zr 0.5000 0.5000 0.0000
Se 0.0000 0.5000 0.5000
S 0.3368 0.3368 0.0000
S 0.5000 0.0000 0.5000
S 0.6632 0.6632 0.0000

Top 12 peaks for 2θ from 5° to 70°, low angle first:
2θ/deg	I (rel.)
11.1	44.1
23.9	51.8
24.4	98.9
24.6	100.0
33.5	79.4
33.9	43.6
34.3	62.0
35.8	55.2
42.6	47.8
43.5	28.4
49.0	29.4
50.4	40.0